1.
Starting from a GGA-PBE-relaxed structure, the powder diffraction line list of La7Tb3Nd2 was computed for copper Kα.

Largest 10 diffraction maxima, sorted by position, 2θ = 10–90°:
d (Å), Position (°2θ), I_rel
3.088, 28.9, 56
2.995, 29.8, 79
2.975, 30.0, 100
2.937, 30.4, 97
2.760, 32.4, 66
2.638, 34.0, 88
2.424, 37.1, 25
1.875, 48.6, 40
1.570, 58.8, 29
1.543, 59.9, 27

```
La7Tb3Nd2
1.0
6.5839 0.0000 0.0000
0.0000 3.6097 0.0000
-1.7312 0.0000 17.8485
La Tb Nd
7 3 2
direct
0.0000 0.0000 0.0000 La
0.2260 0.5000 0.1712 La
0.2619 0.5000 0.4908 La
0.2802 0.0000 0.8341 La
0.7198 0.0000 0.1659 La
0.7381 0.5000 0.5092 La
0.7740 0.5000 0.8288 La
0.4555 0.0000 0.3377 Tb
0.5000 0.5000 0.0000 Tb
0.5445 0.0000 0.6623 Tb
0.0602 0.5000 0.6693 Nd
0.9398 0.5000 0.3307 Nd
```

=====

2.
Starting from a GGA-PBE-relaxed structure, the powder diffraction line list of Tb4NdS6 was computed for copper Kα.

Largest 10 diffraction maxima, sorted by position, 2θ = 10–90°:
d (Å), Position (°2θ), I_rel
3.490, 25.5, 30
3.402, 26.2, 100
3.251, 27.4, 47
3.238, 27.6, 32
2.860, 31.3, 32
2.776, 32.3, 78
2.651, 33.8, 57
2.075, 43.6, 38
1.980, 45.8, 54
1.944, 46.7, 29

```
Tb4NdS6
1.0
1.9444 -6.4752 0.0000
1.9444 6.4752 0.0000
0.0000 0.0000 19.9885
Tb Nd S
8 2 12
direct
0.0920 0.9080 0.6270 Tb
0.0920 0.9080 0.8730 Tb
0.3614 0.6386 0.5397 Tb
0.3614 0.6386 0.9603 Tb
0.6386 0.3614 0.0397 Tb
0.6386 0.3614 0.4603 Tb
0.9080 0.0920 0.1270 Tb
0.9080 0.0920 0.3730 Tb
0.1535 0.8465 0.2500 Nd
0.8465 0.1535 0.7500 Nd
0.0000 0.0000 0.0000 S
0.0000 0.0000 0.5000 S
0.1869 0.8131 0.7500 S
0.2687 0.7313 0.0890 S
0.2687 0.7313 0.4110 S
0.4518 0.5482 0.6657 S
0.4518 0.5482 0.8343 S
0.5482 0.4518 0.1657 S
0.5482 0.4518 0.3343 S
0.7313 0.2687 0.5890 S
0.7313 0.2687 0.9110 S
0.8131 0.1869 0.2500 S
```

=====

3.
Starting from a GGA-PBE-relaxed structure, the powder diffraction line list of HfSb2TeS was computed for copper Kα.

Largest 10 diffraction maxima, sorted by position, 2θ = 10–90°:
d (Å), Position (°2θ), I_rel
2.952, 30.3, 100
2.568, 34.9, 44
2.532, 35.4, 21
1.816, 50.2, 15
1.803, 50.6, 30
1.547, 59.8, 29
1.531, 60.5, 14
1.476, 63.0, 15
1.171, 82.4, 12
1.149, 84.3, 7

```
HfSb2TeS
1.0
5.1369 0.0000 0.0000
0.0000 5.1369 0.0000
0.0000 0.0000 5.0644
Hf Sb Te S
1 2 1 1
direct
0.0000 0.0000 0.0000 Hf
0.0000 0.5000 0.5000 Sb
0.5000 0.0000 0.5000 Sb
0.5000 0.5000 0.0000 Te
0.5000 0.5000 0.5000 S
```